[1]
For Mg4GeN4, a crystal structure in the Materials Project, relaxed with GGA-PBE gives the calculated X-ray powder pattern in this record (Cu Kα).
Lines closer than 0.1° are merged.

Peak list (8 most intense, 2θ from 10° to 90°, sorted by position)
| d_spacing | intensity | h k l |
| --- | --- | --- |
| 5.362 | 84 | 0 2 0 |
| 4.518 | 100 | 1 0 1 |
| 4.141 | 43 | 0 0 2 |
| 3.455 | 47 | 1 2 1 |
| 2.457 | 67 | 1 0 3 |
| 2.418 | 57 | 1 3 2 |
| 2.305 | 83 | 1 4 1 |
| 1.901 | 38 | 2 4 0 |

Structural model:
Cell lengths 5.3902, 10.7233, 8.2826 Å; angles 90.00, 90.00, 90.00 degrees
Space group Pnna (No. 52)
Inequivalent atoms, fractional coordinates:
Mg (0.1808, 0.1407, 0.1177)
Mg (0.2255, 0.2500, 0.7500)
Mg (0.2500, 0.0000, 0.4564)
Ge (0.2500, 0.0000, 0.7888)
N (0.0313, 0.6029, 0.8413)
N (0.0521, 0.1203, 0.8885)

[2]
For GdNi4Au, a crystal structure in the Materials Project, relaxed with GGA-PBE gives the calculated X-ray powder pattern in this record (Cu Kα).
Lines closer than 0.1° are merged.

Peak list (8 most intense, 2θ from 10° to 90°, sorted by position)
| d_spacing | intensity | h k l |
| --- | --- | --- |
| 4.054 | 18 | 1 1 1 |
| 2.483 | 68 | 2 2 0 |
| 2.117 | 100 | 3 1 1 |
| 2.027 | 14 | 2 2 2 |
| 1.433 | 25 | 4 2 2 |
| 1.351 | 30 | 5 1 1 |
| 1.241 | 22 | 4 4 0 |
| 1.110 | 12 | 6 2 0 |

Structural model:
Cell lengths 7.0226, 7.0226, 7.0226 Å; angles 90.00, 90.00, 90.00 degrees
Space group F-43m (No. 216)
Inequivalent atoms, fractional coordinates:
Gd (0.0000, 0.0000, 0.0000)
Ni (0.1249, 0.1249, 0.3751)
Au (0.2500, 0.2500, 0.7500)

[3]
For GdAsO4, a crystal structure in the Materials Project, relaxed with GGA-PBE gives the calculated X-ray powder pattern in this record (Cu Kα).
Lines closer than 0.1° are merged.

Peak list (8 most intense, 2θ from 10° to 90°, sorted by position)
| d_spacing | intensity | h k l |
| --- | --- | --- |
| 4.552 | 19 | 1 0 1 |
| 3.734 | 40 | 0 0 2 |
| 2.960 | 100 | 1 2 1 |
| 2.904 | 11 | 1 1 2 |
| 2.871 | 27 | 2 0 0 |
| 2.284 | 16 | 1 0 3 |
| 1.970 | 22 | 1 2 3 |
| 1.674 | 20 | 3 2 1 |

Structural model:
Cell lengths 5.7421, 7.7908, 7.4673 Å; angles 90.00, 90.00, 90.00 degrees
Space group Imma (No. 74)
Inequivalent atoms, fractional coordinates:
Gd (0.0000, 0.0000, 0.0000)
As (0.0000, 0.2500, 0.4220)
O (0.0000, 0.0634, 0.3014)
O (0.2396, 0.2500, 0.9601)

[4]
For LaPrIn2, a crystal structure in the Materials Project, relaxed with GGA-PBE gives the calculated X-ray powder pattern in this record (Cu Kα).
Lines closer than 0.1° are merged.

Peak list (7 most intense, 2θ from 10° to 90°, sorted by position)
| d_spacing | intensity | h k l |
| --- | --- | --- |
| 3.936 | 1 | 2 0 0 |
| 2.783 | 100 | 2 2 0 |
| 1.968 | 18 | 4 0 0 |
| 1.607 | 38 | 4 2 2 |
| 1.392 | 12 | 4 4 0 |
| 1.245 | 16 | 6 2 0 |
| 1.136 | 4 | 4 4 4 |

Structural model:
Cell lengths 7.8721, 7.8721, 7.8721 Å; angles 90.00, 90.00, 90.00 degrees
Space group Fm-3m (No. 225)
Inequivalent atoms, fractional coordinates:
La (0.0000, 0.0000, 0.0000)
Pr (0.0000, 0.0000, 0.5000)
In (0.2500, 0.2500, 0.2500)